Computed X-ray powder pattern of Li4CdI6 for Cu Kα (λ = 1.5418 Å), from the GGA-PBE geometry in Alexandria.
Lines closer than 0.1° are merged.

Peak list (10 most intense, 10° ≤ 2θ ≤ 90°, by intensity)
25.18°, intensity 100, hkl 0 2 2; 24.01°, intensity 100, hkl 0 0 4; 39.11°, intensity 87, hkl 3 3 -1; 26.31°, intensity 64, hkl 3 1 -3; 25.03°, intensity 55, hkl 3 1 1; 22.65°, intensity 51, hkl 3 1 -1; 23.09°, intensity 48, hkl 3 1 0; 23.79°, intensity 46, hkl 3 1 -2; 47.18°, intensity 42, hkl 3 3 -5; 42.95°, intensity 34, hkl 0 2 6

Cell and atoms:
```
data_Li4CdI6
_chemical_formula_sum 'Li16 Cd4 I24'
_cell_length_a 13.523
_cell_length_b 8.047
_cell_length_c 15.236
_cell_angle_alpha 90.00
_cell_angle_beta 103.29
_cell_angle_gamma 90.00
_space_group_name_H-M_alt 'C 1 c 1'
_space_group_IT_number 9
_space_group_name_Hall 'C -2yc'
loop_
_atom_site_label
_atom_site_type_symbol
_atom_site_fract_x
_atom_site_fract_y
_atom_site_fract_z
Li1 Li 0.000 0.059 0.000
Li2 Li 0.164 0.304 0.337
Li3 Li 0.350 0.076 0.006
Li4 Li 0.394 0.265 0.752
Cd1 Cd 0.075 0.258 0.768
I1 I 0.059 0.072 0.196
I2 I 0.156 0.240 0.956
I3 I 0.219 0.461 0.711
I4 I 0.329 0.254 0.471
I5 I 0.387 0.079 0.199
I6 I 0.494 0.240 0.932
```